Starting from a cell relaxed with GGA+U, the powder XRD pattern of Rb2CrH2Cl5O was computed for Cu Kα X-rays.

Peak list (10 most intense, 2θ from 10° to 90°, in order of rising 2θ)
two_theta  intensity
14.7  44.4
15.5  36.1
23.7  34.9
25.3  31.5
27.5  38.8
28.9  64.7
29.6  41.7
30.3  100.0
31.4  54.1
38.0  54.6

Structure:
Unit cell a=14.2794 b=9.4817 c=7.7957 alpha=90.00 beta=90.00 gamma=90.00
Sites, in units of the cell vectors:
Rb  0.1533  0.0009  0.1264
Rb  0.1533  0.4991  0.1264
Rb  0.3467  0.5009  0.6264
Rb  0.3467  0.9991  0.6264
Rb  0.6533  0.0009  0.3736
Rb  0.6533  0.4991  0.3736
Rb  0.8467  0.5009  0.8736
Rb  0.8467  0.9991  0.8736
Cr  0.1003  0.7500  0.6887
Cr  0.3997  0.2500  0.1887
Cr  0.6003  0.7500  0.8113
Cr  0.8997  0.2500  0.3113
H  0.0370  0.1658  0.5244
H  0.0370  0.3342  0.5244
H  0.4630  0.6658  0.0244
H  0.4630  0.8342  0.0244
H  0.5370  0.1658  0.9756
H  0.5370  0.3342  0.9756
H  0.9630  0.6658  0.4756
H  0.9630  0.8342  0.4756
Cl  0.0078  0.7500  0.9458
Cl  0.0949  0.0025  0.6888
Cl  0.0949  0.4975  0.6888
Cl  0.1926  0.7500  0.4328
Cl  0.2380  0.7500  0.8596
Cl  0.2620  0.2500  0.3596
Cl  0.3074  0.2500  0.9328
Cl  0.4051  0.5025  0.1888
Cl  0.4051  0.9975  0.1888
Cl  0.4922  0.2500  0.4458
Cl  0.5078  0.7500  0.5542
Cl  0.5949  0.0025  0.8112
Cl  0.5949  0.4975  0.8112
Cl  0.6926  0.7500  0.0672
Cl  0.7380  0.7500  0.6404
Cl  0.7620  0.2500  0.1404
Cl  0.8074  0.2500  0.5672
Cl  0.9051  0.5025  0.3112
Cl  0.9051  0.9975  0.3112
Cl  0.9922  0.2500  0.0542
O  0.0219  0.2500  0.4542
O  0.4781  0.7500  0.9542
O  0.5219  0.2500  0.0458
O  0.9781  0.7500  0.5458